1.
Starting from a DFT-relaxed cell (GGA-PBE, Alexandria), the powder XRD pattern of AcTbNi10 was calculated for Cu Kα X-rays.
Peak positions follow from Bragg's law for the DFT cell and can differ from measured ones.

Main lines, low angle first (2θ = 10–90°):
2θ (°), d (Å), I (rel.)
30.6, 2.925, 61
36.0, 2.496, 35
41.8, 2.160, 24
42.8, 2.114, 100
45.7, 1.986, 25
59.5, 1.554, 16
63.6, 1.463, 21
69.4, 1.354, 15

Crystal structure
```
data_AcTbNi10
_cell_length_a 3.973
_cell_length_b 4.984
_cell_length_c 8.663
_cell_angle_alpha 90.00
_cell_angle_beta 90.00
_cell_angle_gamma 90.00
_symmetry_space_group_name_H-M 'P m m m'
_symmetry_Int_Tables_number 47
_symmetry_space_group_name_Hall '-P 2 2'
loop_
_atom_site_label
_atom_site_type_symbol
_atom_site_fract_x
_atom_site_fract_y
_atom_site_fract_z
_atom_site_occupancy
Ac1 Ac 0.000 0.000 0.000 1
Tb1 Tb 0.000 0.500 0.500 1
Ni1 Ni 0.000 0.000 0.342 1
Ni2 Ni 0.000 0.500 0.177 1
Ni3 Ni 0.500 0.000 0.500 1
Ni4 Ni 0.500 0.254 0.259 1
Ni5 Ni 0.500 0.500 0.000 1
```

---

2.
Starting from a DFT-relaxed cell (GGA-PBE, Alexandria), the powder XRD pattern of FeBr2 was calculated for Cu Kα X-rays.
Peak positions follow from Bragg's law for the DFT cell and can differ from measured ones.

Main lines, low angle first (2θ = 10–90°):
2θ (°), d (Å), I (rel.)
14.5, 6.104, 27
16.2, 5.477, 38
25.7, 3.471, 100
41.8, 2.162, 22
42.9, 2.106, 33
49.6, 1.838, 13
49.8, 1.833, 13
51.7, 1.770, 14

Crystal structure
```
data_FeBr2
_cell_length_a 8.440
_cell_length_b 12.207
_cell_length_c 5.818
_cell_angle_alpha 90.00
_cell_angle_beta 133.44
_cell_angle_gamma 90.00
_symmetry_space_group_name_H-M 'C 1 2/c 1'
_symmetry_Int_Tables_number 15
_symmetry_space_group_name_Hall '-C 2yc'
loop_
_atom_site_label
_atom_site_type_symbol
_atom_site_fract_x
_atom_site_fract_y
_atom_site_fract_z
_atom_site_occupancy
Fe1 Fe 0.000 0.000 0.250 1
Br1 Br 0.224 0.113 0.224 1
```